# CeHgAuO
Computed X-ray diffraction stick pattern, CuKα. Input: a DFT-relaxed cell (PBE, Alexandria).

Cell lengths 8.7551, 8.7551, 8.7551 Å; angles 158.79, 158.79, 30.17 degrees
Positions (direct):
Ce (0.0000, 0.0000, 0.0000)
Hg (0.7357, 0.7357, 0.0000)
Au (0.3602, 0.3602, 0.0000)
O (0.5416, 0.5416, 0.0000)

Principal peaks in the range 2θ = 10–90°, low angle first:
| two_theta | I/Imax |
| --- | --- |
| 10.46 | 43.2 |
| 31.99 | 100.0 |
| 38.59 | 48.1 |
| 39.55 | 43.1 |
| 42.79 | 14.0 |
| 57.17 | 14.7 |
| 59.67 | 21.2 |
| 67.03 | 24.9 |
| 67.52 | 15.6 |
| 71.11 | 16.1 |

# Hf2Ti3Ga4
Computed X-ray diffraction stick pattern, CuKα. Input: a DFT-relaxed cell (PBE, Alexandria).

Cell lengths 7.8742, 7.8742, 7.6540 Å; angles 90.00, 90.00, 137.48 degrees
Positions (direct):
Hf (0.1136, 0.8864, 0.9126)
Hf (0.3864, 0.6136, 0.4126)
Hf (0.6136, 0.3864, 0.5874)
Hf (0.8864, 0.1136, 0.0874)
Ti (0.0000, 0.0000, 0.5000)
Ti (0.0397, 0.4603, 0.7500)
Ti (0.4603, 0.0397, 0.2500)
Ti (0.5000, 0.5000, 0.0000)
Ti (0.5397, 0.9603, 0.7500)
Ti (0.9603, 0.5397, 0.2500)
Ga (0.1805, 0.8195, 0.5546)
Ga (0.2148, 0.2852, 0.7500)
Ga (0.2852, 0.2148, 0.2500)
Ga (0.3195, 0.6805, 0.0546)
Ga (0.6805, 0.3195, 0.9454)
Ga (0.7148, 0.7852, 0.7500)
Ga (0.7852, 0.7148, 0.2500)
Ga (0.8195, 0.1805, 0.4454)

Principal peaks in the range 2θ = 10–90°, low angle first:
| two_theta | I/Imax |
| --- | --- |
| 20.32 | 31.6 |
| 33.62 | 55.0 |
| 35.72 | 60.1 |
| 36.36 | 100.0 |
| 37.31 | 75.4 |
| 38.64 | 32.3 |
| 39.37 | 67.3 |
| 40.01 | 43.3 |
| 52.27 | 29.2 |
| 61.77 | 26.9 |

# Ac3Pu3ScSe8
Computed X-ray diffraction stick pattern, CuKα. Input: a DFT-relaxed cell (PBE, Alexandria).

Cell lengths 8.6510, 8.6510, 8.6510 Å; angles 58.49, 58.49, 58.49 degrees
Positions (direct):
Ac (0.0000, 0.5000, 0.5000)
Ac (0.5000, 0.0000, 0.5000)
Ac (0.5000, 0.5000, 0.0000)
Pu (0.0000, 0.0000, 0.5000)
Pu (0.0000, 0.5000, 0.0000)
Pu (0.5000, 0.0000, 0.0000)
Sc (0.5000, 0.5000, 0.5000)
Se (0.2424, 0.2424, 0.2424)
Se (0.2532, 0.7342, 0.7342)
Se (0.2658, 0.2658, 0.7468)
Se (0.2658, 0.7468, 0.2658)
Se (0.7342, 0.2532, 0.7342)
Se (0.7342, 0.7342, 0.2532)
Se (0.7468, 0.2658, 0.2658)
Se (0.7576, 0.7576, 0.7576)

Principal peaks in the range 2θ = 10–90°, low angle first:
| two_theta | I/Imax |
| --- | --- |
| 14.65 | 20.2 |
| 25.72 | 20.0 |
| 29.56 | 100.0 |
| 41.79 | 37.6 |
| 42.79 | 37.3 |
| 52.86 | 19.8 |
| 61.35 | 12.1 |
| 68.83 | 16.1 |
| 70.27 | 17.9 |
| 77.68 | 12.3 |

# Sr5Pb3
Computed X-ray diffraction stick pattern, CuKα. Input: a DFT-relaxed cell (PBE, Alexandria).

Cell lengths 10.0420, 10.0420, 7.3460 Å; angles 90.00, 90.00, 120.00 degrees
Positions (direct):
Sr (0.0000, 0.2688, 0.2500)
Sr (0.0000, 0.7312, 0.7500)
Sr (0.2688, 0.0000, 0.2500)
Sr (0.2688, 0.2688, 0.7500)
Sr (0.3333, 0.6667, 0.0000)
Sr (0.3333, 0.6667, 0.5000)
Sr (0.6667, 0.3333, 0.0000)
Sr (0.6667, 0.3333, 0.5000)
Sr (0.7312, 0.0000, 0.7500)
Sr (0.7312, 0.7312, 0.2500)
Pb (0.0000, 0.3875, 0.7500)
Pb (0.0000, 0.6125, 0.2500)
Pb (0.3875, 0.0000, 0.7500)
Pb (0.3875, 0.3875, 0.2500)
Pb (0.6125, 0.0000, 0.2500)
Pb (0.6125, 0.6125, 0.7500)

Principal peaks in the range 2θ = 10–90°, low angle first:
| two_theta | I/Imax |
| --- | --- |
| 10.17 | 29.9 |
| 21.44 | 50.8 |
| 24.23 | 43.9 |
| 29.78 | 100.0 |
| 30.15 | 99.2 |
| 30.85 | 82.0 |
| 39.32 | 51.1 |
| 46.23 | 30.2 |
| 57.46 | 31.6 |
| 59.59 | 25.5 |

# Pm5Sm5Ho2
Computed X-ray diffraction stick pattern, CuKα. Input: a DFT-relaxed cell (PBE, Alexandria).

Cell lengths 8.1018, 8.1018, 11.4546 Å; angles 115.17, 115.17, 36.79 degrees
Positions (direct):
Pm (0.0000, 0.0000, 0.0000)
Pm (0.0827, 0.0827, 0.7499)
Pm (0.1668, 0.1668, 0.5000)
Pm (0.8332, 0.8332, 0.5000)
Pm (0.9173, 0.9173, 0.2501)
Sm (0.2486, 0.2486, 0.2488)
Sm (0.3339, 0.3339, 0.0001)
Sm (0.5000, 0.5000, 0.5000)
Sm (0.6661, 0.6661, 0.9999)
Sm (0.7514, 0.7514, 0.7512)
Ho (0.4164, 0.4164, 0.7498)
Ho (0.5836, 0.5836, 0.2502)

Principal peaks in the range 2θ = 10–90°, low angle first:
| two_theta | I/Imax |
| --- | --- |
| 30.24 | 100.0 |
| 35.06 | 50.7 |
| 50.42 | 36.2 |
| 59.90 | 28.8 |
| 59.98 | 14.3 |
| 62.89 | 12.4 |
| 82.01 | 8.9 |
| 82.09 | 8.8 |
| 84.59 | 6.9 |
| 84.72 | 9.6 |

# La4Pm2Er
Computed X-ray diffraction stick pattern, CuKα. Input: a DFT-relaxed cell (PBE, Alexandria).

Cell lengths 6.3628, 9.7363, 9.7388 Å; angles 60.12, 71.13, 83.84 degrees
Positions (direct):
La (0.0000, 0.0000, 0.0000)
La (0.9998, 0.2853, 0.5724)
La (0.0010, 0.8516, 0.7163)
La (0.0033, 0.5742, 0.1398)
La (0.4981, 0.4997, 0.5017)
La (0.4996, 0.0677, 0.6487)
La (0.5014, 0.2152, 0.9318)
La (0.5007, 0.9269, 0.3592)
Pm (0.0009, 0.1447, 0.2841)
Pm (0.0006, 0.7131, 0.4295)
Pm (0.5014, 0.6383, 0.7910)
Pm (0.5061, 0.3580, 0.2139)
Er (0.0004, 0.4283, 0.8578)
Er (0.5013, 0.7826, 0.0742)

Principal peaks in the range 2θ = 10–90°, low angle first:
| two_theta | I/Imax |
| --- | --- |
| 29.72 | 100.0 |
| 34.41 | 33.9 |
| 34.54 | 16.8 |
| 49.47 | 12.1 |
| 49.59 | 18.1 |
| 58.67 | 7.2 |
| 58.80 | 21.7 |
| 58.88 | 7.2 |
| 59.00 | 7.2 |
| 80.53 | 7.3 |

# TaTi3Mn
Computed X-ray diffraction stick pattern, CuKα. Input: a DFT-relaxed cell (PBE, Alexandria).

Cell lengths 3.0450, 5.3647, 10.1096 Å; angles 89.07, 89.97, 73.56 degrees
Positions (direct):
Ta (0.2401, 0.0222, 0.2430)
Ta (0.7599, 0.9778, 0.7570)
Ti (0.0390, 0.4206, 0.6850)
Ti (0.1357, 0.2283, 0.9608)
Ti (0.3603, 0.7769, 0.5357)
Ti (0.6397, 0.2231, 0.4643)
Ti (0.8643, 0.7717, 0.0392)
Ti (0.9610, 0.5794, 0.3150)
Mn (0.4452, 0.6086, 0.8565)
Mn (0.5548, 0.3913, 0.1435)

Principal peaks in the range 2θ = 10–90°, low angle first:
| two_theta | I/Imax |
| --- | --- |
| 17.24 | 33.6 |
| 17.55 | 57.2 |
| 24.48 | 25.2 |
| 31.90 | 53.2 |
| 39.47 | 47.9 |
| 39.58 | 53.2 |
| 40.51 | 100.0 |
| 40.73 | 18.4 |
| 41.00 | 95.7 |
| 60.87 | 20.6 |

# Pu3Ga4Pt2
Computed X-ray diffraction stick pattern, CuKα. Input: a DFT-relaxed cell (PBE, Alexandria).

Cell lengths 5.6145, 5.6145, 8.7007 Å; angles 120.74, 120.74, 49.74 degrees
Positions (direct):
Pu (0.0000, 0.0000, 0.0000)
Pu (0.3390, 0.3390, 0.3302)
Pu (0.6610, 0.6610, 0.6698)
Ga (0.0796, 0.0796, 0.4064)
Ga (0.2974, 0.2974, 0.9594)
Ga (0.7026, 0.7026, 0.0406)
Ga (0.9204, 0.9204, 0.5936)
Pt (0.3865, 0.3865, 0.7210)
Pt (0.6135, 0.6135, 0.2790)

Principal peaks in the range 2θ = 10–90°, low angle first:
| two_theta | I/Imax |
| --- | --- |
| 21.62 | 24.5 |
| 21.71 | 27.7 |
| 37.15 | 29.1 |
| 37.28 | 59.5 |
| 37.50 | 88.0 |
| 38.01 | 100.0 |
| 38.11 | 50.2 |
| 54.28 | 19.9 |
| 54.58 | 30.5 |
| 68.51 | 30.8 |

# Nd2GaSn2Rh5
Computed X-ray diffraction stick pattern, CuKα. Input: a DFT-relaxed cell (PBE, Alexandria).

Cell lengths 10.8022, 10.8022, 3.2773 Å; angles 90.00, 90.00, 90.00 degrees
Positions (direct):
Nd (0.1668, 0.3332, 0.0000)
Nd (0.3332, 0.8332, 0.0000)
Nd (0.6668, 0.1668, 0.0000)
Nd (0.8332, 0.6668, 0.0000)
Ga (0.0000, 0.0000, 0.0000)
Ga (0.5000, 0.5000, 0.0000)
Sn (0.1369, 0.6369, 0.0000)
Sn (0.3631, 0.1369, 0.0000)
Sn (0.6369, 0.8631, 0.0000)
Sn (0.8631, 0.3631, 0.0000)
Rh (0.0000, 0.5000, 0.5000)
Rh (0.0393, 0.8089, 0.5000)
Rh (0.1911, 0.0393, 0.5000)
Rh (0.3089, 0.5393, 0.5000)
Rh (0.4607, 0.3089, 0.5000)
Rh (0.5000, 0.0000, 0.5000)
Rh (0.5393, 0.6911, 0.5000)
Rh (0.6911, 0.4607, 0.5000)
Rh (0.8089, 0.9607, 0.5000)
Rh (0.9607, 0.1911, 0.5000)

Principal peaks in the range 2θ = 10–90°, low angle first:
| two_theta | I/Imax |
| --- | --- |
| 34.23 | 28.0 |
| 35.25 | 54.1 |
| 36.11 | 17.4 |
| 38.05 | 100.0 |
| 40.81 | 17.4 |
| 43.42 | 29.9 |
| 50.71 | 16.5 |
| 56.13 | 15.1 |
| 68.04 | 15.9 |
| 72.63 | 14.5 |

# Pu2Zn15Cd2
Computed X-ray diffraction stick pattern, CuKα. Input: a DFT-relaxed cell (PBE, Alexandria).

Cell lengths 6.9198, 6.9198, 6.9198 Å; angles 82.77, 82.77, 82.77 degrees
Positions (direct):
Pu (0.1571, 0.1571, 0.1571)
Pu (0.8429, 0.8429, 0.8429)
Zn (0.0000, 0.5000, 0.5000)
Zn (0.1454, 0.1454, 0.6646)
Zn (0.1454, 0.6646, 0.1454)
Zn (0.1975, 0.5000, 0.8025)
Zn (0.1975, 0.8025, 0.5000)
Zn (0.3354, 0.8546, 0.8546)
Zn (0.5000, 0.0000, 0.5000)
Zn (0.5000, 0.1975, 0.8025)
Zn (0.5000, 0.5000, 0.0000)
Zn (0.5000, 0.8025, 0.1975)
Zn (0.6646, 0.1454, 0.1454)
Zn (0.8025, 0.1975, 0.5000)
Zn (0.8025, 0.5000, 0.1975)
Zn (0.8546, 0.3354, 0.8546)
Zn (0.8546, 0.8546, 0.3354)
Cd (0.3945, 0.3945, 0.3945)
Cd (0.6055, 0.6055, 0.6055)

Principal peaks in the range 2θ = 10–90°, low angle first:
| two_theta | I/Imax |
| --- | --- |
| 19.40 | 24.2 |
| 27.91 | 36.5 |
| 33.94 | 61.5 |
| 35.06 | 40.2 |
| 39.39 | 71.8 |
| 39.64 | 100.0 |
| 40.37 | 60.3 |
| 57.68 | 27.5 |
| 71.43 | 22.5 |
| 72.90 | 24.5 |

# B12S
Computed X-ray diffraction stick pattern, CuKα. Input: a DFT-relaxed cell (PBE, Alexandria).

Cell lengths 5.1146, 5.1146, 5.1146 Å; angles 69.54, 69.54, 69.54 degrees
Positions (direct):
B (0.1708, 0.4896, 0.4896)
B (0.2132, 0.6884, 0.6884)
B (0.3116, 0.3116, 0.7868)
B (0.3116, 0.7868, 0.3116)
B (0.4896, 0.1708, 0.4896)
B (0.4896, 0.4896, 0.1708)
B (0.5104, 0.5104, 0.8292)
B (0.5104, 0.8292, 0.5104)
B (0.6884, 0.2132, 0.6884)
B (0.6884, 0.6884, 0.2132)
B (0.7868, 0.3116, 0.3116)
B (0.8292, 0.5104, 0.5104)
S (0.0000, 0.0000, 0.0000)

Principal peaks in the range 2θ = 10–90°, low angle first:
| two_theta | I/Imax |
| --- | --- |
| 23.40 | 100.0 |
| 36.41 | 57.3 |
| 38.73 | 43.8 |
| 43.07 | 10.7 |
| 47.85 | 9.8 |
| 48.31 | 10.6 |
| 53.78 | 22.1 |
| 57.90 | 9.8 |
| 68.97 | 14.6 |
| 76.28 | 11.5 |

# CaSm5Y12
Computed X-ray diffraction stick pattern, CuKα. Input: a DFT-relaxed cell (PBE, Alexandria).

Cell lengths 10.8075, 10.8075, 6.2397 Å; angles 106.64, 106.64, 60.01 degrees
Positions (direct):
Ca (0.0000, 0.0000, 0.0000)
Sm (0.1688, 0.1688, 0.5105)
Sm (0.3330, 0.3330, 0.0027)
Sm (0.5000, 0.5000, 0.5000)
Sm (0.6670, 0.6670, 0.9973)
Sm (0.8312, 0.8312, 0.4895)
Y (0.0002, 0.3369, 0.9999)
Y (0.9998, 0.6631, 0.0001)
Y (0.1664, 0.5007, 0.5009)
Y (0.1713, 0.8287, 0.5000)
Y (0.3369, 0.0002, 0.9999)
Y (0.3374, 0.6626, 0.0000)
Y (0.4993, 0.8336, 0.4991)
Y (0.5007, 0.1664, 0.5009)
Y (0.6631, 0.9998, 0.0001)
Y (0.6626, 0.3374, 0.0000)
Y (0.8287, 0.1713, 0.5000)
Y (0.8336, 0.4993, 0.4991)

Principal peaks in the range 2θ = 10–90°, low angle first:
| two_theta | I/Imax |
| --- | --- |
| 30.38 | 100.0 |
| 35.22 | 50.3 |
| 50.62 | 11.6 |
| 50.68 | 23.2 |
| 60.19 | 27.6 |
| 60.29 | 13.6 |
| 63.20 | 11.8 |
| 82.53 | 13.6 |
| 85.12 | 7.6 |
| 85.24 | 5.1 |